(1)
This entry pairs a crystal structure of Na3TaF8 with its calculated powder diffractogram. Radiation: Cu Ka. Structure: a cell relaxed with GGA-PBE.
Peak positions follow from Bragg's law for the DFT cell and can differ from measured ones.

Peak list (6 most intense, 10 to 80 degrees two-theta, sorted by position)
18.3 deg, I 54; 18.7 deg, I 55; 19.5 deg, I 100; 23.6 deg, I 50; 29.8 deg, I 48; 30.8 deg, I 47

Structural model:
abc: 6.1612 6.1612 10.7388
angles: 116.83 116.83 49.89
Element x y z (fractional)
Na 0.0000 0.5000 0.5000
Na 0.1048 0.6212 0.9001
Na 0.3788 0.8952 0.5999
Na 0.5000 0.0000 0.0000
Na 0.6212 0.1048 0.4001
Na 0.8952 0.3788 0.0999
Ta 0.3216 0.6784 0.2500
Ta 0.6784 0.3216 0.7500
F 0.0525 0.2647 0.8919
F 0.0658 0.8070 0.3667
F 0.1930 0.9342 0.1333
F 0.2647 0.0525 0.3919
F 0.3052 0.3489 0.7132
F 0.3489 0.3052 0.2132
F 0.3910 0.4977 0.5806
F 0.4977 0.3910 0.0806
F 0.5023 0.6090 0.9194
F 0.6090 0.5023 0.4194
F 0.6511 0.6948 0.7868
F 0.6948 0.6511 0.2868
F 0.7353 0.9475 0.6081
F 0.8070 0.0658 0.8667
F 0.9342 0.1930 0.6333
F 0.9475 0.7353 0.1081

---

(2)
This entry pairs a crystal structure of NaTb2ZnF11 with its calculated powder diffractogram. Radiation: Cu Ka. Structure: a cell relaxed with GGA-PBE.
Peak positions follow from Bragg's law for the DFT cell and can differ from measured ones.

Peak list (6 most intense, 10 to 80 degrees two-theta, sorted by position)
17.4 deg, I 58; 18.6 deg, I 83; 19.7 deg, I 50; 26.6 deg, I 86; 28.6 deg, I 100; 32.4 deg, I 46

Structural model:
abc: 5.6590 5.6590 7.1257
angles: 114.22 114.22 72.47
Element x y z (fractional)
Na 0.0000 0.0000 0.0000
Tb 0.3827 0.3827 0.7060
Tb 0.6173 0.6173 0.2940
Zn 0.0000 0.0000 0.5000
F 0.0631 0.7014 0.5953
F 0.1859 0.1859 0.8044
F 0.2986 0.9369 0.4047
F 0.3120 0.6880 0.0000
F 0.3300 0.3300 0.1854
F 0.5000 0.5000 0.5000
F 0.6700 0.6700 0.8146
F 0.6880 0.3120 0.0000
F 0.7014 0.0631 0.5953
F 0.8141 0.8141 0.1956
F 0.9369 0.2986 0.4047

---

(3)
This entry pairs a crystal structure of NaTl2TcF6 with its calculated powder diffractogram. Radiation: Cu Ka. Structure: a cell relaxed with GGA-PBE.
Peak positions follow from Bragg's law for the DFT cell and can differ from measured ones.

Peak list (6 most intense, 10 to 80 degrees two-theta, sorted by position)
21.3 deg, I 54; 29.8 deg, I 72; 29.9 deg, I 36; 30.7 deg, I 100; 36.9 deg, I 27; 43.3 deg, I 45

Structural model:
abc: 5.8309 6.0029 8.3477
angles: 89.88 88.00 89.88
Element x y z (fractional)
Na 0.0000 0.0000 0.0000
Na 0.5000 0.5000 0.5000
Tl 0.0053 0.5004 0.2466
Tl 0.4933 0.9997 0.2539
Tl 0.5067 0.0003 0.7461
Tl 0.9947 0.4996 0.7534
Tc 0.0000 0.0000 0.5000
Tc 0.5000 0.5000 0.0000
F 0.0114 0.9987 0.7405
F 0.2319 0.7499 0.5052
F 0.2365 0.2461 0.5063
F 0.2619 0.2552 0.9943
F 0.2694 0.7512 0.9955
F 0.4903 0.5015 0.7592
F 0.5097 0.4985 0.2408
F 0.7306 0.2488 0.0045
F 0.7381 0.7448 0.0057
F 0.7635 0.7539 0.4937
F 0.7681 0.2501 0.4948
F 0.9886 0.0013 0.2595